No. 1
Diffraction record for Tb4GaHgN. The powder diffraction line list is simulated, not measured: it uses a GGA-PBE-relaxed structure and λ = 1.5418 Å (Cu Kα).
Intensities are scaled so that the largest is 100.

Peak list (10 most intense, 15° ≤ 2θ ≤ 90°, most intense first)
| 2θ (°) | I_rel |
| --- | --- |
| 36.00 | 100 |
| 28.87 | 68 |
| 37.26 | 61 |
| 66.37 | 30 |
| 53.46 | 24 |
| 53.71 | 21 |
| 36.92 | 17 |
| 62.13 | 16 |
| 26.11 | 15 |
| 52.72 | 14 |

Cell and atoms:
```
data_Tb4GaHgN
_cell_length_a 8.063
_cell_length_b 8.063
_cell_length_c 6.826
_cell_angle_alpha 90.00
_cell_angle_beta 90.00
_cell_angle_gamma 129.92
_symmetry_space_group_name_H-M 'P 1'
_symmetry_Int_Tables_number 1
_symmetry_space_group_name_Hall 'P 1'
loop_
_atom_site_label
_atom_site_fract_x
_atom_site_fract_y
_atom_site_fract_z
Tb1 0.000 0.500 0.000
Tb2 0.000 0.500 0.500
Tb3 0.078 0.922 0.750
Tb4 0.419 0.581 0.750
Tb5 0.500 0.000 0.000
Tb6 0.500 0.000 0.500
Tb7 0.581 0.419 0.250
Tb8 0.922 0.078 0.250
Ga1 0.125 0.875 0.250
Ga2 0.875 0.125 0.750
Hg1 0.381 0.619 0.250
Hg2 0.619 0.381 0.750
N1 0.248 0.752 0.750
N2 0.752 0.248 0.250
```


No. 2
Diffraction record for CeTmBr. The powder diffraction line list is simulated, not measured: it uses a GGA-PBE-relaxed structure and λ = 1.5418 Å (Cu Kα).
Intensities are scaled so that the largest is 100.

Peak list (10 most intense, 15° ≤ 2θ ≤ 90°, most intense first)
| 2θ (°) | I_rel |
| --- | --- |
| 30.90 | 100 |
| 37.26 | 56 |
| 50.47 | 24 |
| 63.26 | 22 |
| 35.57 | 19 |
| 56.83 | 17 |
| 82.46 | 15 |
| 60.36 | 15 |
| 64.38 | 11 |
| 86.05 | 10 |

Cell and atoms:
```
data_CeTmBr
_cell_length_a 3.616
_cell_length_b 3.616
_cell_length_c 7.572
_cell_angle_alpha 90.00
_cell_angle_beta 90.00
_cell_angle_gamma 120.00
_symmetry_space_group_name_H-M 'P 1'
_symmetry_Int_Tables_number 1
_symmetry_space_group_name_Hall 'P 1'
loop_
_atom_site_label
_atom_site_fract_x
_atom_site_fract_y
_atom_site_fract_z
Ce1 0.000 0.000 0.000
Tm1 0.667 0.333 0.365
Br1 0.333 0.667 0.658
```


No. 3
Diffraction record for Pr2NdCd2Pb2. The powder diffraction line list is simulated, not measured: it uses a GGA-PBE-relaxed structure and λ = 1.5418 Å (Cu Kα).
Intensities are scaled so that the largest is 100.

Peak list (10 most intense, 15° ≤ 2θ ≤ 90°, most intense first)
| 2θ (°) | I_rel |
| --- | --- |
| 30.32 | 100 |
| 34.97 | 85 |
| 46.94 | 30 |
| 59.86 | 29 |
| 62.72 | 16 |
| 32.88 | 15 |
| 62.10 | 12 |
| 81.89 | 12 |
| 50.68 | 11 |
| 73.87 | 10 |

Cell and atoms:
```
data_Pr2NdCd2Pb2
_cell_length_a 9.660
_cell_length_b 9.660
_cell_length_c 9.660
_cell_angle_alpha 30.81
_cell_angle_beta 30.81
_cell_angle_gamma 30.81
_symmetry_space_group_name_H-M 'P 1'
_symmetry_Int_Tables_number 1
_symmetry_space_group_name_Hall 'P 1'
loop_
_atom_site_label
_atom_site_fract_x
_atom_site_fract_y
_atom_site_fract_z
Pr1 0.133 0.133 0.133
Pr2 0.867 0.867 0.867
Nd1 0.000 0.000 0.000
Cd1 0.424 0.424 0.424
Cd2 0.576 0.576 0.576
Pb1 0.272 0.272 0.272
Pb2 0.728 0.728 0.728
```